For La2HgBi4, a crystal structure in Alexandria, relaxed with PBE gives the calculated powder XRD pattern in this record (Cu Kα (weighted mean of Kα1 and Kα2)).
Peak positions follow from Bragg's law for the DFT cell and can differ from measured ones.

```
La2HgBi4
1.0
4.691 0.000 0.000
0.000 4.691 0.000
0.000 0.000 10.372
La Hg Bi
2 1 4
direct
0.000 0.500 0.246 La
0.500 0.000 0.754 La
0.500 0.500 0.000 Hg
0.000 0.000 0.500 Bi
0.000 0.500 0.816 Bi
0.500 0.000 0.184 Bi
0.500 0.500 0.500 Bi
```

Main lines, by angle (10 to 80 degrees two-theta):
25.6°, I = 16; 25.8°, I = 12; 28.2°, I = 15; 32.0°, I = 100; 34.6°, I = 11; 38.4°, I = 39; 46.8°, I = 17; 52.6°, I = 13; 55.4°, I = 14; 65.4°, I = 27

---

For LaHg2Bi2, a crystal structure in Alexandria, relaxed with PBE gives the calculated powder XRD pattern in this record (Cu Kα (weighted mean of Kα1 and Kα2)).
Peak positions follow from Bragg's law for the DFT cell and can differ from measured ones.

```
LaHg2Bi2
1.0
5.427 0.000 0.000
-2.714 4.700 0.000
0.000 0.000 13.213
La Hg Bi
2 4 4
direct
0.000 0.000 0.250 La
0.000 0.000 0.750 La
0.000 0.000 0.000 Hg
0.000 0.000 0.500 Hg
0.333 0.667 0.250 Hg
0.667 0.333 0.750 Hg
0.333 0.667 0.629 Bi
0.333 0.667 0.871 Bi
0.667 0.333 0.129 Bi
0.667 0.333 0.371 Bi
```

Main lines, by angle (10 to 80 degrees two-theta):
23.2°, I = 16; 27.8°, I = 56; 33.0°, I = 100; 33.1°, I = 43; 39.1°, I = 30; 43.7°, I = 17; 47.5°, I = 16; 55.8°, I = 17; 59.0°, I = 36; 66.2°, I = 27

---

For La5Hg2Bi, a crystal structure in Alexandria, relaxed with PBE gives the calculated powder XRD pattern in this record (Cu Kα (weighted mean of Kα1 and Kα2)).
Peak positions follow from Bragg's law for the DFT cell and can differ from measured ones.

```
La5Hg2Bi
1.0
-4.436 4.436 6.693
4.436 -4.436 6.693
4.436 4.436 -6.693
La Hg Bi
10 4 2
direct
0.000 0.000 0.000 La
0.008 0.508 0.813 La
0.196 0.008 0.500 La
0.304 0.804 0.813 La
0.492 0.304 0.500 La
0.500 0.500 0.000 La
0.508 0.696 0.500 La
0.696 0.196 0.187 La
0.804 0.992 0.500 La
0.992 0.492 0.187 La
0.138 0.362 0.500 Hg
0.362 0.862 0.223 Hg
0.638 0.138 0.777 Hg
0.862 0.638 0.500 Hg
0.250 0.250 0.000 Bi
0.750 0.750 0.000 Bi
```

Main lines, by angle (10 to 80 degrees two-theta):
28.5°, I = 11; 30.1°, I = 100; 30.3°, I = 10; 31.9°, I = 66; 33.5°, I = 16; 40.7°, I = 14; 42.0°, I = 16; 45.7°, I = 10; 59.9°, I = 28; 64.9°, I = 11

---

For Li4HgBi3, a crystal structure in Alexandria, relaxed with PBE gives the calculated powder XRD pattern in this record (Cu Kα (weighted mean of Kα1 and Kα2)).
Peak positions follow from Bragg's law for the DFT cell and can differ from measured ones.

```
Li4HgBi3
1.0
3.418 0.000 0.000
0.000 3.418 0.000
0.000 0.000 15.400
Li Hg Bi
4 1 3
direct
0.000 0.000 0.104 Li
0.000 0.000 0.367 Li
0.000 0.000 0.633 Li
0.000 0.000 0.896 Li
0.500 0.500 0.000 Hg
0.500 0.500 0.232 Bi
0.500 0.500 0.500 Bi
0.500 0.500 0.768 Bi
```

Main lines, by angle (10 to 80 degrees two-theta):
23.1°, I = 61; 26.1°, I = 100; 35.1°, I = 94; 37.2°, I = 45; 44.2°, I = 46; 53.6°, I = 17; 54.7°, I = 18; 59.1°, I = 20; 60.6°, I = 24; 65.7°, I = 32